No. 1
Computed powder diffraction line list of Cr2Cu5P4O18 for Cu Kα, 1.54184 Å, from a structure optimized by DFT (GGA+U).
Neutral-atom scattering factors, no anomalous dispersion.

Structural model:
```
data_Cr2Cu5P4O18
_chemical_formula_sum 'Cr4 Cu10 P8 O36'
_space_group_name_H-M_alt 'C 1 2/m 1'
_space_group_IT_number 12
_cell_length_a 13.2839
_cell_length_b 6.4786
_cell_length_c 8.3870
_cell_angle_alpha 90.00
_cell_angle_beta 112.18
_cell_angle_gamma 90.00
loop_
_space_group_symop_operation_xyz
'x,y,z'
'-x,-y,-z'
'-x,y,-z'
'x,-y,z'
'x+1/2,y+1/2,z'
'-x+1/2,-y+1/2,-z'
'-x+1/2,y+1/2,-z'
'x+1/2,-y+1/2,z'
loop_
_atom_site_label
_atom_site_fract_x
_atom_site_fract_y
_atom_site_fract_z
Cr1 0.1080 0.0000 0.4669
Cu1 0.0000 0.5000 0.0000
Cu2 0.1245 0.2559 0.7659
P1 0.1266 0.5000 0.4110
P2 0.1596 0.0000 0.0930
O1 0.0264 0.5000 0.2392
O2 0.0576 0.0000 0.6635
O3 0.1155 0.3077 0.5173
O4 0.1175 0.2017 0.9894
O5 0.1318 0.0000 0.2519
O6 0.2120 0.5000 0.8543
O7 0.2324 0.5000 0.3795
```

Principal peaks in the range 10 to 80 degrees two-theta, sorted by position:
2theta, I/Imax, (hkl)
14.61, 47, 2 0 -1
21.55, 29, 2 0 1
29.04, 90, 4 0 0
31.31, 100, 2 2 -1
32.05, 54, 2 0 -3
35.23, 64, 2 2 1
36.11, 36, 0 2 2
44.85, 40, 4 0 -4
58.14, 30, 6 2 1
62.86, 43, 2 2 -5

No. 2
Computed powder diffraction line list of Li3V2P4H2O16 for Cu Kα, 1.54184 Å, from a structure optimized by DFT (GGA+U).
Neutral-atom scattering factors, no anomalous dispersion.

Structural model:
```
data_Li3V2P4H2O16
_chemical_formula_sum 'Li6 V4 P8 H4 O32'
_space_group_name_H-M_alt 'P 1 c 1'
_space_group_IT_number 7
_cell_length_a 7.9051
_cell_length_b 8.0688
_cell_length_c 9.9545
_cell_angle_alpha 90.00
_cell_angle_beta 114.92
_cell_angle_gamma 90.00
loop_
_space_group_symop_operation_xyz
'x,y,z'
'x,-y,z+1/2'
loop_
_atom_site_label
_atom_site_fract_x
_atom_site_fract_y
_atom_site_fract_z
Li1 0.0000 0.1040 0.0000
Li2 0.5062 0.1256 0.5047
Li3 0.7557 0.3748 0.4519
V1 0.1327 0.2576 0.4755
V2 0.6233 0.2524 0.9781
P1 0.0681 0.3962 0.1541
P2 0.1906 0.1011 0.7990
P3 0.5860 0.4070 0.6645
P4 0.6774 0.0959 0.2942
H1 0.3459 0.2580 0.2115
H2 0.9088 0.2444 0.7405
O1 0.0291 0.1871 0.8239
O2 0.0318 0.4395 0.5707
O3 0.1148 0.4173 0.3183
O4 0.1392 0.0831 0.6324
O5 0.2188 0.2924 0.1275
O6 0.2301 0.0628 0.3840
O7 0.3701 0.2110 0.8677
O8 0.4023 0.3101 0.5851
O9 0.5303 0.1951 0.3230
O10 0.5747 0.4166 0.0998
O11 0.6284 0.4253 0.8324
O12 0.6287 0.0753 0.1252
O13 0.7020 0.0784 0.8670
O14 0.7359 0.3078 0.6381
O15 0.8638 0.1910 0.3697
O16 0.8891 0.2835 0.0798
```

Principal peaks in the range 10 to 80 degrees two-theta, sorted by position:
2theta, I/Imax, (hkl)
16.36, 53, 1 1 -1
22.57, 42, 0 1 2
24.84, 75, 2 0 0
25.21, 51, 1 2 -1
27.22, 15, 2 1 0
29.10, 100, 1 1 -3
29.70, 20, 0 2 2
33.07, 42, 2 2 -2
43.31, 15, 1 3 -3
51.51, 16, 4 2 -2